Calculated X-ray diffraction stick pattern
Compound: La2Ni2Pd
Radiation: a wavelength of 1.5418 Å
Structure: DFT lattice parameters and positions (GGA-PBE)

Crystal structure
Unit cell a=7.3354 b=7.3354 c=3.8819 alpha=90.00 beta=90.00 gamma=90.00
Space group P4/mbm (No. 127)
Symmetry-distinct sites (fractional):
La: 0.1839 0.3161 0.0000 x4
Ni: 0.1169 0.6169 0.5000 x4
Pd: 0.0000 0.0000 0.5000 x2

Top 12 peaks for 15 to 90 degrees two-theta, low angle first:
d_spacing, Position (°2θ), intensity, (hkl)
3.281, 27.18, 13, 2 1 0
2.666, 33.62, 75, 2 0 1
2.593, 34.59, 20, 2 2 0
2.506, 35.84, 100, 2 1 1
2.320, 38.82, 40, 3 1 0
1.941, 46.80, 21, 0 0 2
1.779, 51.36, 17, 4 1 0
1.617, 56.93, 19, 4 1 1
1.579, 58.43, 16, 3 3 1
1.489, 62.38, 19, 3 1 2
1.349, 69.71, 15, 5 1 1
1.312, 72.00, 12, 4 1 2